Simulated PXRD pattern of SmNpPa2P4 for λ = 1.5418 Å (Cu Kα), from a crystal structure in Alexandria, relaxed with PBE.
Intensities are scaled so that the largest is 100.

Top 8 peaks for 10° ≤ 2θ ≤ 80°, by angle:
| 2θ/deg | I (rel.) |
| --- | --- |
| 27.33 | 100 |
| 31.66 | 96 |
| 45.39 | 71 |
| 53.80 | 50 |
| 56.40 | 25 |
| 72.97 | 21 |
| 75.10 | 11 |
| 75.23 | 22 |

Cell and atoms:
abc: 5.648 5.648 11.319
angles: 90.00 90.00 90.00
Space group I-4m2 (No. 119)
Symmetry-distinct sites (fractional):
1 Sm 0.000 0.000 0.000 x2
2 Np 0.000 0.500 0.750 x2
3 Pa 0.000 0.000 0.500 x2
4 Pa 0.000 0.500 0.250 x2
5 P 0.000 0.000 0.254 x4
6 P 0.000 0.500 0.001 x4